The following is a computed PXRD pattern of V4S9Br4. It was derived from a structure optimized by DFT (PBE), using Cu Kα, 1.54184 Å.
Peak positions follow from Bragg's law for the DFT cell and can differ from measured ones.

Cell and atoms:
Unit cell a=10.984 b=10.984 c=7.440 alpha=90.00 beta=90.00 gamma=90.00
Sites, in units of the cell vectors:
1 V 0.115 0.115 0.120
2 V 0.115 0.385 0.120
3 V 0.385 0.115 0.120
4 V 0.385 0.385 0.120
5 V 0.615 0.615 0.880
6 V 0.615 0.885 0.880
7 V 0.885 0.615 0.880
8 V 0.885 0.885 0.880
9 S 0.038 0.250 0.342
10 S 0.056 0.750 0.892
11 S 0.250 0.038 0.342
12 S 0.250 0.250 0.975
13 S 0.250 0.462 0.342
14 S 0.250 0.556 0.108
15 S 0.250 0.944 0.108
16 S 0.444 0.750 0.892
17 S 0.462 0.250 0.342
18 S 0.538 0.750 0.658
19 S 0.556 0.250 0.108
20 S 0.750 0.056 0.892
21 S 0.750 0.444 0.892
22 S 0.750 0.538 0.658
23 S 0.750 0.750 0.025
24 S 0.750 0.962 0.658
25 S 0.944 0.250 0.108
26 S 0.962 0.750 0.658
27 Br 0.051 0.051 0.792
28 Br 0.051 0.449 0.792
29 Br 0.449 0.051 0.792
30 Br 0.449 0.449 0.792
31 Br 0.551 0.551 0.208
32 Br 0.551 0.949 0.208
33 Br 0.949 0.551 0.208
34 Br 0.949 0.949 0.208

Main lines, sorted by position (10 to 90 degrees two-theta):
| Position (°2θ) | d/Å | intensity | index |
| --- | --- | --- | --- |
| 11.4 | 7.767 | 49 | 1 1 0 |
| 11.9 | 7.440 | 100 | 0 0 1 |
| 16.1 | 5.492 | 55 | 2 0 0 |
| 27.1 | 3.285 | 34 | 3 0 1 |
| 29.0 | 3.080 | 34 | 2 0 2 |
| 31.7 | 2.819 | 63 | 3 2 1 |
| 42.9 | 2.107 | 29 | 5 0 1 |
| 48.1 | 1.892 | 32 | 5 0 2 |